# Li2BH6N
Simulated XRD peak list, Cu Kα (weighted mean of Kα1 and Kα2). Input: DFT lattice parameters and positions (GGA-PBE).
Peak positions follow from Bragg's law for the DFT cell and can differ from measured ones.

```
data_Li2BH6N
_symmetry_space_group_name_H-M 'R -3'
_symmetry_Int_Tables_number 148
_symmetry_space_group_name_Hall '-R 3'
_cell_length_a 14.4262
_cell_length_b 14.4262
_cell_length_c 9.1001
_cell_angle_alpha 90.00
_cell_angle_beta 90.00
_cell_angle_gamma 120.00
loop_
_atom_site_label
_atom_site_fract_x
_atom_site_fract_y
_atom_site_fract_z
_atom_site_occupancy
Li1 0.0342 0.1513 0.0803 1
Li2 0.0430 0.6044 0.8813 1
B1 0.0086 0.4202 0.8418 1
H1 0.0072 0.7248 0.8907 1
H2 0.0093 0.5254 0.2450 1
H3 0.0151 0.7588 0.4445 1
H4 0.0368 0.1295 0.7518 1
H5 0.0658 0.4747 0.9439 1
H6 0.0913 0.2363 0.8489 1
N1 0.0310 0.1577 0.8527 1
```

Main lines, by intensity (10° ≤ 2θ ≤ 90°):
index	2theta	Rel. int.
1 0 1	12.03	100
4 -3 1	27.54	76
0 0 3	29.45	30
0 2 1	17.22	22
3 1 2	32.48	19
2 5 0	45.33	17
4 -3 4	47.83	16
4 1 0	32.83	10
7 -2 3	54.98	9
2 2 0	24.68	7
6 -4 1	39.43	7
8 -2 1	53.87	6